# 1
For TlGa12, a DFT-relaxed cell (GGA-PBE, Alexandria) gives the theoretical powder diffractogram in this record (Cu Ka).

Largest 12 diffraction maxima, most intense first, 2θ = 15–90°:
d = 3.274 Å, 27.2°, intensity 1000
d = 1.810 Å, 50.4°, intensity 468
d = 1.835 Å, 49.7°, intensity 417
d = 3.134 Å, 28.5°, intensity 361
d = 2.216 Å, 40.7°, intensity 350
d = 1.280 Å, 74.1°, intensity 268
d = 2.090 Å, 43.3°, intensity 257
d = 1.414 Å, 66.1°, intensity 241
d = 5.429 Å, 16.3°, intensity 150
d = 1.192 Å, 80.6°, intensity 138
d = 1.185 Å, 81.2°, intensity 106
d = 2.491 Å, 36.1°, intensity 100

Atomic structure:
Cell: 7.6774 7.6774 7.6774 Å, 60.00 60.00 60.00°
Positions (direct):
Tl: 0.0000 0.0000 0.0000
Ga: 0.1596 0.5000 0.5000
Ga: 0.1596 0.5000 0.8404
Ga: 0.1596 0.8404 0.5000
Ga: 0.5000 0.1596 0.5000
Ga: 0.5000 0.1596 0.8404
Ga: 0.5000 0.5000 0.1596
Ga: 0.5000 0.5000 0.8404
Ga: 0.5000 0.8404 0.1596
Ga: 0.5000 0.8404 0.5000
Ga: 0.8404 0.1596 0.5000
Ga: 0.8404 0.5000 0.1596
Ga: 0.8404 0.5000 0.5000

# 2
For TlGa, a DFT-relaxed cell (GGA-PBE, Alexandria) gives the theoretical powder diffractogram in this record (Cu Ka).

Largest 12 diffraction maxima, most intense first, 2θ = 15–90°:
d = 2.564 Å, 35.0°, intensity 1000
d = 2.498 Å, 36.0°, intensity 404
d = 3.515 Å, 25.3°, intensity 351
d = 3.351 Å, 26.6°, intensity 309
d = 1.842 Å, 49.5°, intensity 258
d = 1.454 Å, 64.0°, intensity 192
d = 2.649 Å, 33.8°, intensity 185
d = 1.493 Å, 62.2°, intensity 166
d = 1.863 Å, 48.9°, intensity 113
d = 1.766 Å, 51.8°, intensity 105
d = 1.172 Å, 82.3°, intensity 87
d = 5.299 Å, 16.7°, intensity 81

Atomic structure:
Cell: 10.5976 10.5976 3.7260 Å, 90.00 90.00 90.00°
Positions (direct):
Tl: 0.1419 0.8340 0.0000
Tl: 0.1660 0.1419 0.0000
Tl: 0.3362 0.3558 0.5000
Tl: 0.3558 0.6638 0.5000
Tl: 0.6442 0.3362 0.5000
Tl: 0.6638 0.6442 0.5000
Tl: 0.8340 0.8581 0.0000
Tl: 0.8581 0.1660 0.0000
Ga: 0.0264 0.3597 0.5000
Ga: 0.1399 0.5249 0.0000
Ga: 0.3597 0.9736 0.5000
Ga: 0.4751 0.1399 0.0000
Ga: 0.5249 0.8601 0.0000
Ga: 0.6403 0.0264 0.5000
Ga: 0.8601 0.4751 0.0000
Ga: 0.9736 0.6403 0.5000

# 3
For TlGa, a DFT-relaxed cell (GGA-PBE, Alexandria) gives the theoretical powder diffractogram in this record (Cu Ka).

Largest 12 diffraction maxima, most intense first, 2θ = 15–90°:
d = 2.620 Å, 34.2°, intensity 1000
d = 1.512 Å, 61.3°, intensity 281
d = 4.279 Å, 20.8°, intensity 240
d = 1.853 Å, 49.2°, intensity 181
d = 2.236 Å, 40.3°, intensity 102
d = 1.516 Å, 61.1°, intensity 94
d = 1.173 Å, 82.2°, intensity 82
d = 1.171 Å, 82.3°, intensity 82
d = 1.312 Å, 72.0°, intensity 58
d = 1.309 Å, 72.2°, intensity 58
d = 2.232 Å, 40.4°, intensity 35
d = 1.698 Å, 54.0°, intensity 31

Atomic structure:
Cell: 5.2345 5.2345 12.8686 Å, 90.00 90.00 120.00°
Positions (direct):
Tl: 0.0000 0.0000 0.1247
Tl: 0.0000 0.0000 0.8753
Tl: 0.3333 0.6667 0.5420
Tl: 0.3333 0.6667 0.7913
Tl: 0.6667 0.3333 0.2087
Tl: 0.6667 0.3333 0.4580
Ga: 0.0000 0.0000 0.3740
Ga: 0.0000 0.0000 0.6260
Ga: 0.3333 0.6667 0.0407
Ga: 0.3333 0.6667 0.2926
Ga: 0.6667 0.3333 0.7074
Ga: 0.6667 0.3333 0.9593

# 4
For Tl2VGa, a DFT-relaxed cell (GGA-PBE, Alexandria) gives the theoretical powder diffractogram in this record (Cu Ka).

Largest 12 diffraction maxima, most intense first, 2θ = 15–90°:
d = 2.652 Å, 33.8°, intensity 1000
d = 2.826 Å, 31.7°, intensity 932
d = 1.934 Å, 47.0°, intensity 805
d = 3.996 Å, 22.2°, intensity 601
d = 1.998 Å, 45.4°, intensity 346
d = 1.390 Å, 67.4°, intensity 276
d = 1.150 Å, 84.2°, intensity 233
d = 1.405 Å, 66.5°, intensity 221
d = 1.596 Å, 57.8°, intensity 219
d = 1.247 Å, 76.4°, intensity 194
d = 1.264 Å, 75.2°, intensity 155
d = 1.787 Å, 51.1°, intensity 142

Atomic structure:
Cell: 7.9927 7.9927 6.0051 Å, 90.00 90.00 90.00°
Positions (direct):
Tl: 0.2478 0.2500 0.1250
Tl: 0.2500 0.7478 0.3750
Tl: 0.2500 0.7522 0.8750
Tl: 0.2522 0.2500 0.6250
Tl: 0.7478 0.7500 0.6250
Tl: 0.7500 0.2478 0.8750
Tl: 0.7500 0.2522 0.3750
Tl: 0.7522 0.7500 0.1250
V: 0.0000 0.0000 0.0000
V: 0.0000 0.5000 0.2500
V: 0.5000 0.0000 0.7500
V: 0.5000 0.5000 0.5000
Ga: 0.0000 0.0000 0.5000
Ga: 0.0000 0.5000 0.7500
Ga: 0.5000 0.0000 0.2500
Ga: 0.5000 0.5000 0.0000

Q: Number 2 is which compound?
A: TlGa

What did the first record say?
For TlGa12, a DFT-relaxed cell (GGA-PBE, Alexandria) gives the theoretical powder diffractogram in this record (Cu Ka).

Largest 12 diffraction maxima, most intense first, 2θ = 15–90°:
d = 3.274 Å, 27.2°, intensity 1000
d = 1.810 Å, 50.4°, intensity 468
d = 1.835 Å, 49.7°, intensity 417
d = 3.134 Å, 28.5°, intensity 361
d = 2.216 Å, 40.7°, intensity 350
d = 1.280 Å, 74.1°, intensity 268
d = 2.090 Å, 43.3°, intensity 257
d = 1.414 Å, 66.1°, intensity 241
d = 5.429 Å, 16.3°, intensity 150
d = 1.192 Å, 80.6°, intensity 138
d = 1.185 Å, 81.2°, intensity 106
d = 2.491 Å, 36.1°, intensity 100

Atomic structure:
Cell: 7.6774 7.6774 7.6774 Å, 60.00 60.00 60.00°
Positions (direct):
Tl: 0.0000 0.0000 0.0000
Ga: 0.1596 0.5000 0.5000
Ga: 0.1596 0.5000 0.8404
Ga: 0.1596 0.8404 0.5000
Ga: 0.5000 0.1596 0.5000
Ga: 0.5000 0.1596 0.8404
Ga: 0.5000 0.5000 0.1596
Ga: 0.5000 0.5000 0.8404
Ga: 0.5000 0.8404 0.1596
Ga: 0.5000 0.8404 0.5000
Ga: 0.8404 0.1596 0.5000
Ga: 0.8404 0.5000 0.1596
Ga: 0.8404 0.5000 0.5000